This entry pairs a crystal structure of Pr6Er2Sc3 with its theoretical powder X-ray diffraction pattern. Radiation: Cu Kα (weighted mean of Kα1 and Kα2). Structure: a DFT-relaxed cell (GGA-PBE, Alexandria).

Largest 10 diffraction maxima, by angle, 2θ from 10° to 90°:
- 2θ 16.09, rel. 22.1
- 2θ 23.08, rel. 25.3
- 2θ 24.99, rel. 36.4
- 2θ 29.64, rel. 54.1
- 2θ 31.45, rel. 100.0
- 2θ 31.52, rel. 60.2
- 2θ 31.91, rel. 91.6
- 2θ 33.04, rel. 84.6
- 2θ 33.13, rel. 81.6
- 2θ 34.56, rel. 27.1

Structure:
```
11
Lattice="6.053 0.000 0.000 -2.567 7.939 0.000 -2.679 -3.153 7.317" Properties=species:S:1:pos:R:3 pbc="T T T"
Pr -1.468 2.679 1.312
Pr -1.581 -2.357 6.385
Pr -0.393 5.884 2.137
Pr 1.201 -1.098 5.180
Pr 2.388 7.143 0.932
Pr 2.276 2.107 6.005
Er -0.686 3.365 4.704
Er 1.493 1.421 2.613
Sc -1.708 0.166 4.068
Sc 1.743 3.969 0.000
Sc 2.516 4.620 3.249
```

This entry pairs a crystal structure of Pr2ErSc2 with its theoretical powder X-ray diffraction pattern. Radiation: Cu Kα (weighted mean of Kα1 and Kα2). Structure: a DFT-relaxed cell (GGA-PBE, Alexandria).

Largest 10 diffraction maxima, by angle, 2θ from 10° to 90°:
- 2θ 15.54, rel. 28.5
- 2θ 29.08, rel. 26.1
- 2θ 32.25, rel. 36.0
- 2θ 33.26, rel. 100.0
- 2θ 33.38, rel. 46.7
- 2θ 43.89, rel. 13.9
- 2θ 51.38, rel. 18.5
- 2θ 58.13, rel. 19.0
- 2θ 62.04, rel. 15.2
- 2θ 62.79, rel. 15.8

Structure:
```
10
Lattice="7.672 -3.085 0.000 7.672 3.085 0.000 -1.563 0.000 6.406" Properties=species:S:1:pos:R:3 pbc="T T T"
Pr 2.831 0.565 1.060
Pr 2.050 -0.565 4.263
Pr 11.731 0.565 2.143
Pr 10.950 -0.565 5.346
Er 7.281 2.531 1.602
Er 6.500 -2.531 4.805
Sc 5.397 0.480 3.543
Sc 6.178 -0.480 0.340
Sc 7.603 0.480 6.066
Sc 8.385 -0.480 2.863
```

This entry pairs a crystal structure of Pr7ErSc2 with its theoretical powder X-ray diffraction pattern. Radiation: Cu Kα (weighted mean of Kα1 and Kα2). Structure: a DFT-relaxed cell (GGA-PBE, Alexandria).

Largest 10 diffraction maxima, by angle, 2θ from 10° to 90°:
- 2θ 11.27, rel. 26.3
- 2θ 15.78, rel. 28.9
- 2θ 19.45, rel. 29.2
- 2θ 25.25, rel. 94.1
- 2θ 27.84, rel. 82.0
- 2θ 30.19, rel. 100.0
- 2θ 31.87, rel. 64.2
- 2θ 34.12, rel. 73.2
- 2θ 34.30, rel. 63.0
- 2θ 44.46, rel. 75.6

Structure:
```
10
Lattice="4.544 -7.805 0.000 4.544 7.805 0.000 0.000 0.000 5.616" Properties=species:S:1:pos:R:3 pbc="T T T"
Pr 0.000 0.000 0.000
Pr 2.880 1.885 0.000
Pr 4.544 3.866 2.808
Pr 2.880 -1.885 0.000
Pr 6.208 1.885 0.000
Pr 4.544 -3.866 2.808
Pr 6.208 -1.885 0.000
Er 4.544 0.000 2.808
Sc 4.544 4.645 0.000
Sc 4.544 -4.645 0.000
```

This entry pairs a crystal structure of PrEr2Sc with its theoretical powder X-ray diffraction pattern. Radiation: Cu Kα (weighted mean of Kα1 and Kα2). Structure: a DFT-relaxed cell (GGA-PBE, Alexandria).

Largest 10 diffraction maxima, by angle, 2θ from 10° to 90°:
- 2θ 28.88, rel. 23.8
- 2θ 29.29, rel. 17.0
- 2θ 32.05, rel. 33.0
- 2θ 33.12, rel. 100.0
- 2θ 33.48, rel. 40.8
- 2θ 43.68, rel. 14.9
- 2θ 51.69, rel. 17.2
- 2θ 57.81, rel. 19.0
- 2θ 62.12, rel. 19.1
- 2θ 62.32, rel. 13.5

Structure:
```
8
Lattice="3.587 0.000 0.000 0.000 11.172 0.000 0.000 0.000 6.098" Properties=species:S:1:pos:R:3 pbc="T T T"
Pr 0.000 0.000 0.000
Pr 1.793 5.586 3.049
Er 0.000 2.700 3.951
Er 0.000 8.472 3.951
Er 1.793 2.886 0.902
Er 1.793 8.285 0.902
Sc 0.000 5.586 6.045
Sc 1.793 0.000 2.996
```

This entry pairs a crystal structure of PrEr6Sc6 with its theoretical powder X-ray diffraction pattern. Radiation: Cu Kα (weighted mean of Kα1 and Kα2). Structure: a DFT-relaxed cell (GGA-PBE, Alexandria).

Largest 10 diffraction maxima, by angle, 2θ from 10° to 90°:
- 2θ 16.66, rel. 34.0
- 2θ 26.67, rel. 80.2
- 2θ 28.38, rel. 100.0
- 2θ 30.23, rel. 69.8
- 2θ 31.60, rel. 65.5
- 2θ 33.08, rel. 57.9
- 2θ 35.89, rel. 58.1
- 2θ 38.24, rel. 31.8
- 2θ 40.74, rel. 42.5
- 2θ 59.85, rel. 30.6

Structure:
```
13
Lattice="6.304 0.000 0.000 0.000 10.645 0.000 -2.762 0.000 5.671" Properties=species:S:1:pos:R:3 pbc="T T T"
Pr 0.000 0.000 0.000
Er 0.000 3.603 0.000
Er 0.000 7.042 0.000
Er -0.186 5.322 4.061
Er 0.422 0.000 3.669
Er 3.120 0.000 2.002
Er 3.728 5.322 1.609
Sc -1.381 2.440 2.835
Sc -1.381 8.205 2.835
Sc 3.152 2.431 0.000
Sc 1.771 3.059 2.835
Sc 1.771 7.586 2.835
Sc 3.152 8.214 0.000
```

This entry pairs a crystal structure of Pr12Er7Sc with its theoretical powder X-ray diffraction pattern. Radiation: Cu Kα (weighted mean of Kα1 and Kα2). Structure: a DFT-relaxed cell (GGA-PBE, Alexandria).

Largest 10 diffraction maxima, by angle, 2θ from 10° to 90°:
- 2θ 28.45, rel. 12.7
- 2θ 28.82, rel. 41.8
- 2θ 30.09, rel. 22.2
- 2θ 30.82, rel. 12.3
- 2θ 31.06, rel. 100.0
- 2θ 33.37, rel. 47.7
- 2θ 35.45, rel. 35.1
- 2θ 50.93, rel. 18.4
- 2θ 55.29, rel. 13.6
- 2θ 63.70, rel. 17.9

Structure:
```
20
Lattice="7.617 4.398 3.390 -7.617 4.398 3.390 0.000 -8.796 3.390" Properties=species:S:1:pos:R:3 pbc="T T T"
Pr -1.801 -2.006 2.567
Pr -3.501 0.574 4.330
Pr -0.836 2.563 2.567
Pr -2.248 -2.745 5.841
Pr 1.253 -3.319 4.330
Pr 2.638 -0.557 2.567
Pr -2.638 0.557 7.605
Pr -1.253 3.319 5.841
Pr 2.248 2.745 4.330
Pr 0.836 -2.563 7.605
Pr 3.501 -0.574 5.841
Pr 1.801 2.006 7.605
Er -6.809 1.218 4.130
Er -4.460 -5.288 6.042
Er 2.350 -6.506 4.130
Er 0.000 0.000 5.086
Er -2.350 6.506 6.042
Er 4.460 5.288 4.130
Er 6.809 -1.218 6.042
Sc 0.000 0.000 0.000
```

This entry pairs a crystal structure of Pr3Er3Sc2 with its theoretical powder X-ray diffraction pattern. Radiation: Cu Kα (weighted mean of Kα1 and Kα2). Structure: a DFT-relaxed cell (GGA-PBE, Alexandria).

Largest 10 diffraction maxima, by angle, 2θ from 10° to 90°:
- 2θ 31.10, rel. 100.0
- 2θ 35.58, rel. 17.4
- 2θ 35.87, rel. 17.1
- 2θ 36.73, rel. 16.0
- 2θ 51.41, rel. 12.1
- 2θ 52.06, rel. 11.7
- 2θ 61.12, rel. 14.4
- 2θ 61.51, rel. 14.1
- 2θ 62.66, rel. 13.2
- 2θ 64.84, rel. 12.0

Structure:
```
8
Lattice="5.007 0.000 0.000 0.000 5.047 0.000 0.000 0.000 9.787" Properties=species:S:1:pos:R:3 pbc="T T T"
Pr 0.000 0.000 0.000
Pr 0.000 0.000 4.894
Pr 2.504 2.523 0.000
Er 0.000 2.523 2.478
Er 0.000 2.523 7.309
Er 2.504 2.523 4.894
Sc 2.504 0.000 2.479
Sc 2.504 0.000 7.308
```

This entry pairs a crystal structure of Tb2PrEr2Sc2 with its theoretical powder X-ray diffraction pattern. Radiation: Cu Kα (weighted mean of Kα1 and Kα2). Structure: a DFT-relaxed cell (GGA-PBE, Alexandria).

Largest 10 diffraction maxima, by angle, 2θ from 10° to 90°:
- 2θ 16.80, rel. 16.0
- 2θ 20.18, rel. 20.0
- 2θ 31.87, rel. 100.0
- 2θ 32.32, rel. 87.2
- 2θ 32.81, rel. 52.4
- 2θ 33.00, rel. 42.6
- 2θ 47.22, rel. 38.1
- 2θ 58.23, rel. 18.0
- 2θ 58.53, rel. 37.0
- 2θ 63.83, rel. 24.3

Structure:
```
14
Lattice="3.430 0.000 0.000 0.000 5.428 0.000 0.000 0.000 22.543" Properties=species:S:1:pos:R:3 pbc="T T T"
Tb 0.000 0.000 1.654
Tb 0.000 0.000 20.889
Tb 1.715 2.714 9.617
Tb 1.715 2.714 12.926
Pr 0.000 0.000 11.272
Pr 1.715 2.714 0.000
Er 0.000 2.714 6.576
Er 0.000 2.714 15.968
Er 1.715 0.000 4.696
Er 1.715 0.000 17.847
Sc 0.000 2.714 3.296
Sc 0.000 2.714 19.247
Sc 1.715 0.000 7.976
Sc 1.715 0.000 14.567
```

This entry pairs a crystal structure of PrEr2ScTl4 with its theoretical powder X-ray diffraction pattern. Radiation: Cu Kα (weighted mean of Kα1 and Kα2). Structure: a DFT-relaxed cell (GGA-PBE, Alexandria).

Largest 10 diffraction maxima, by angle, 2θ from 10° to 90°:
- 2θ 33.42, rel. 99.6
- 2θ 33.64, rel. 100.0
- 2θ 48.15, rel. 36.2
- 2θ 59.60, rel. 18.0
- 2θ 60.01, rel. 37.6
- 2θ 60.15, rel. 19.1
- 2θ 70.21, rel. 11.1
- 2θ 70.71, rel. 11.8
- 2θ 80.14, rel. 15.5
- 2θ 80.51, rel. 16.3

Structure:
```
8
Lattice="2.664 1.538 8.785 -2.664 1.538 8.785 0.000 -3.077 8.785" Properties=species:S:1:pos:R:3 pbc="T T T"
Pr 0.000 0.000 0.000
Er 0.000 0.000 6.546
Er 0.000 0.000 19.808
Sc 0.000 0.000 13.177
Tl 0.000 0.000 3.378
Tl 0.000 0.000 9.986
Tl 0.000 0.000 16.368
Tl 0.000 0.000 22.975
```

This entry pairs a crystal structure of PrErTm2Sc4 with its theoretical powder X-ray diffraction pattern. Radiation: Cu Kα (weighted mean of Kα1 and Kα2). Structure: a DFT-relaxed cell (GGA-PBE, Alexandria).

Largest 10 diffraction maxima, by angle, 2θ from 10° to 90°:
- 2θ 21.15, rel. 84.0
- 2θ 28.25, rel. 67.7
- 2θ 30.85, rel. 33.7
- 2θ 31.72, rel. 100.0
- 2θ 31.83, rel. 49.5
- 2θ 42.98, rel. 85.7
- 2θ 43.07, rel. 42.6
- 2θ 44.92, rel. 25.1
- 2θ 64.49, rel. 25.1
- 2θ 68.05, rel. 32.0

Structure:
```
16
Lattice="-3.262 5.622 6.318 3.262 -5.622 6.318 3.262 5.622 -6.318" Properties=species:S:1:pos:R:3 pbc="T T T"
Pr -1.631 2.811 3.159
Pr 1.631 2.811 3.159
Er 0.000 0.000 0.000
Er 0.000 5.622 0.000
Tm 1.631 2.811 -3.159
Tm 1.631 -2.811 3.159
Tm 3.262 0.000 0.000
Tm 0.000 0.000 6.318
Sc 1.633 2.811 -0.045
Sc 4.890 2.811 -0.045
Sc 3.262 -0.040 3.151
Sc 3.262 5.582 -3.151
Sc 0.000 0.040 9.469
Sc 0.000 5.663 3.166
Sc -1.629 2.811 6.363
Sc 1.629 2.811 6.363
```

This entry pairs a crystal structure of Pr2ErTm2Sc2 with its theoretical powder X-ray diffraction pattern. Radiation: Cu Kα (weighted mean of Kα1 and Kα2). Structure: a DFT-relaxed cell (GGA-PBE, Alexandria).

Largest 10 diffraction maxima, by angle, 2θ from 10° to 90°:
- 2θ 25.76, rel. 23.3
- 2θ 28.38, rel. 30.1
- 2θ 31.81, rel. 47.6
- 2θ 32.73, rel. 74.5
- 2θ 34.41, rel. 100.0
- 2θ 43.14, rel. 19.2
- 2θ 52.93, rel. 22.5
- 2θ 58.36, rel. 21.6
- 2θ 63.09, rel. 25.3
- 2θ 63.27, rel. 22.0

Structure:
```
14
Lattice="3.485 0.000 0.000 0.000 5.626 0.000 0.000 0.000 21.919" Properties=species:S:1:pos:R:3 pbc="T T T"
Pr 0.000 0.000 3.079
Pr 0.000 0.000 18.839
Pr 1.742 2.813 7.880
Pr 1.742 2.813 14.039
Er 0.000 2.813 10.959
Er 1.742 0.000 0.000
Tm 0.000 0.000 9.024
Tm 0.000 0.000 12.895
Tm 1.742 2.813 1.936
Tm 1.742 2.813 19.983
Sc 0.000 2.813 4.947
Sc 0.000 2.813 16.972
Sc 1.742 0.000 6.013
Sc 1.742 0.000 15.906
```

This entry pairs a crystal structure of PrYEr2Sc4 with its theoretical powder X-ray diffraction pattern. Radiation: Cu Kα (weighted mean of Kα1 and Kα2). Structure: a DFT-relaxed cell (GGA-PBE, Alexandria).

Largest 10 diffraction maxima, by angle, 2θ from 10° to 90°:
- 2θ 21.06, rel. 47.3
- 2θ 28.16, rel. 45.2
- 2θ 30.75, rel. 18.9
- 2θ 31.62, rel. 100.0
- 2θ 42.84, rel. 85.3
- 2θ 44.72, rel. 14.1
- 2θ 56.35, rel. 12.4
- 2θ 64.17, rel. 16.6
- 2θ 67.78, rel. 21.1
- 2θ 73.21, rel. 11.2

Structure:
```
16
Lattice="6.530 -6.338 0.000 6.530 6.338 0.000 -3.280 0.000 5.664" Properties=species:S:1:pos:R:3 pbc="T T T"
Pr 0.000 0.000 0.000
Pr -1.640 0.000 2.832
Y 3.265 3.169 0.000
Y 1.625 -3.169 2.832
Er 1.625 3.169 2.832
Er 3.265 -3.169 0.000
Er 6.530 0.000 0.000
Er 4.890 0.000 2.832
Sc 1.657 0.026 2.861
Sc 4.883 3.127 2.845
Sc 3.258 3.127 5.651
Sc 3.297 -0.026 0.029
Sc 6.484 0.026 5.636
Sc 6.523 -3.127 0.013
Sc 4.898 -3.127 2.819
Sc 8.124 -0.026 2.803
```